This entry pairs a crystal structure of AcCd2PdAu2 with its computed PXRD pattern. Radiation: Cu Kα, 1.54184 Å. Structure: a cell relaxed with GGA-PBE.

Largest 10 diffraction maxima, sorted by position, 2θ = 5–70°:
2θ (°)  intensity
15.3  282
23.5  643
28.5  240
30.8  549
33.5  1000
39.1  277
44.5  150
46.2  723
48.1  364
58.2  450

Structural model:
Cell lengths 5.3498, 5.3498, 11.6056 Å; angles 90.00, 90.00, 90.00 degrees
Space group I4/mmm (No. 139)
Unique sites:
Ac 0.0000 0.0000 0.0000 x2
Cd 0.0000 0.5000 0.2500 x4
Pd 0.0000 0.0000 0.5000 x2
Au 0.0000 0.0000 0.2718 x4